Entry 1:
Hf5ZrTe8: computed powder XRD pattern (Cu Kα X-rays), based on a crystal structure in the Materials Project, relaxed with PBE.
Kinematic intensities with the Lorentz-polarization factor, no thermal factor.

Top 10 peaks for 2θ = 10–80°, in order of rising 2θ:
24.42 deg, rel. 21; 28.09 deg, rel. 16; 29.40 deg, rel. 31; 33.70 deg, rel. 100; 33.89 deg, rel. 36; 33.98 deg, rel. 18; 39.96 deg, rel. 58; 46.02 deg, rel. 21; 47.52 deg, rel. 18; 58.40 deg, rel. 15

Cell and atoms:
```
Hf5ZrTe8
1.0
10.980 0.000 0.000
5.488 9.548 0.000
0.003 -0.001 15.778
Hf Zr Te
20 4 32
Cartesian
0.000 0.000 0.000
5.491 9.545 3.942
5.486 9.538 11.826
6.037 5.839 3.945
6.044 5.849 15.773
6.049 5.835 7.889
6.048 5.838 11.845
8.840 6.025 13.801
8.843 6.027 1.978
8.849 6.016 9.857
9.391 2.331 5.913
9.400 2.323 13.821
9.399 2.315 9.861
13.551 7.201 0.004
13.557 7.201 11.839
13.569 7.212 7.884
12.307 4.667 13.805
12.313 4.661 9.876
12.314 4.655 1.970
12.317 4.663 5.909
8.841 6.014 5.929
9.409 2.329 1.968
13.566 7.194 3.951
16.461 9.542 7.906
1.236 1.694 5.906
1.244 1.697 9.887
1.241 1.679 13.804
1.271 1.663 1.966
4.706 7.535 13.806
4.704 7.515 9.874
4.713 7.537 1.963
4.721 7.528 5.921
3.414 4.434 15.772
3.409 4.437 7.895
3.414 4.435 11.843
3.414 4.399 3.937
8.007 7.959 3.938
8.020 7.948 7.916
8.027 7.952 15.774
8.024 7.950 11.829
6.834 3.895 5.911
6.853 3.930 1.968
6.865 3.911 9.868
6.867 3.909 13.814
11.462 7.419 1.963
11.475 7.433 13.805
11.480 7.425 5.942
11.483 7.428 9.861
10.177 4.328 11.838
10.185 4.347 15.771
10.191 4.338 3.943
10.195 4.319 7.900
8.128 0.656 7.888
8.158 0.639 11.838
8.157 0.618 15.766
8.163 0.639 3.961
```

Entry 2:
Hf3Th: computed powder XRD pattern (Cu Kα X-rays), based on a crystal structure in the Materials Project, relaxed with PBE.
Kinematic intensities with the Lorentz-polarization factor, no thermal factor.

Top 10 peaks for 2θ = 10–80°, in order of rising 2θ:
22.86 deg, rel. 3; 31.04 deg, rel. 24; 34.00 deg, rel. 26; 35.51 deg, rel. 100; 46.70 deg, rel. 16; 55.23 deg, rel. 18; 61.83 deg, rel. 20; 66.46 deg, rel. 21; 67.40 deg, rel. 14; 75.16 deg, rel. 4

Cell and atoms:
```
Hf3Th
1.0
6.653 0.000 0.000
-3.326 5.762 0.000
0.000 0.000 5.274
Hf Th
6 2
Cartesian
0.000 1.789 1.318
-1.777 4.867 1.318
1.550 0.895 3.955
1.777 4.867 1.318
5.103 0.895 3.955
3.326 3.972 3.955
0.000 3.841 3.955
3.326 1.921 1.318
```

Entry 3:
Hf3TiV8: computed powder XRD pattern (Cu Kα X-rays), based on a crystal structure in the Materials Project, relaxed with PBE.
Kinematic intensities with the Lorentz-polarization factor, no thermal factor.

Top 10 peaks for 2θ = 10–80°, in order of rising 2θ:
21.19 deg, rel. 24; 34.81 deg, rel. 47; 34.98 deg, rel. 47; 41.04 deg, rel. 34; 41.21 deg, rel. 100; 62.62 deg, rel. 17; 66.86 deg, rel. 15; 66.96 deg, rel. 15; 73.49 deg, rel. 14; 73.88 deg, rel. 14

Cell and atoms:
```
Hf3TiV8
1.0
2.565 1.481 8.437
-2.565 1.481 8.437
0.000 -2.962 8.437
Hf Ti V
3 1 8
Cartesian
0.000 0.000 0.000
0.000 0.000 3.192
0.000 0.000 15.772
0.000 0.000 12.638
0.000 -1.473 5.752
-1.275 0.736 5.752
-1.278 -0.738 10.057
0.000 0.000 7.877
1.275 0.736 5.752
1.278 -0.738 10.057
0.000 1.476 10.057
0.000 0.000 20.574
```